Diffraction record for ErAg2Bi2. The X-ray diffraction stick pattern is computed, not measured: it uses a DFT-relaxed cell (GGA-PBE, Alexandria) and a wavelength of 1.5418 Å.
Kinematic intensities with the Lorentz-polarization factor, no thermal factor.

Atomic structure:
```
10
Lattice="2.303 -11.656 0.000 2.303 11.656 0.000 0.000 0.000 4.604" Properties=species:S:1:pos:R:3 pbc="T T T"
Er 2.303 8.314 3.453
Er 2.303 -8.314 1.151
Ag 2.303 10.790 1.151
Ag 2.303 0.885 1.151
Ag 2.303 -0.885 3.453
Ag 2.303 -10.790 3.453
Bi 2.303 5.819 1.151
Bi 2.303 2.798 3.453
Bi 2.303 -2.798 1.151
Bi 2.303 -5.819 3.453
```

Top 8 peaks for 10° ≤ 2θ ≤ 90°, by angle:
Position (°2θ), I_rel
29.7, 23
30.7, 12
33.6, 100
38.6, 12
39.1, 44
50.5, 13
56.5, 15
67.4, 27